Record 1
Diffraction record for PrSm4Tm10. The X-ray powder pattern is computed, not measured: it uses a crystal structure in Alexandria, relaxed with PBE and Cu Kα.
Intensities are scaled so that the largest is 100.

Main lines, low angle first (2θ = 5–70°):
2θ = 21.85°, I 25, hkl 3 1 0
2θ = 28.62°, I 24, hkl 3 2 1
2θ = 29.49°, I 79, hkl 3 3 0
2θ = 31.09°, I 95, hkl 2 4 0
2θ = 35.61°, I 100, hkl 5 1 0
2θ = 40.94°, I 24, hkl 3 3 2
2θ = 42.18°, I 29, hkl 2 4 2
2θ = 45.74°, I 29, hkl 5 1 2
2θ = 53.32°, I 24, hkl 2 6 2
2θ = 66.71°, I 28, hkl 2 4 4

Lattice parameters (Å, degrees): 12.8660 12.8660 6.4194 90.00 90.00 90.00
Space group I4/m (No. 87)
Inequivalent atoms, fractional coordinates:
Pr1 0.0000 0.0000 0.0000 x2
Sm1 0.0678 0.1726 0.5000 x8
Tm1 0.0000 0.5000 0.2500 x4
Tm2 0.1298 0.7073 0.2497 x16

=====

Record 2
Diffraction record for PrSm6Tm12. The X-ray powder pattern is computed, not measured: it uses a crystal structure in Alexandria, relaxed with PBE and Cu Kα.
Intensities are scaled so that the largest is 100.

Main lines, low angle first (2θ = 5–70°):
2θ = 30.92°, I 100, hkl 3 2 1
2θ = 35.85°, I 51, hkl 5 -3 2
2θ = 51.60°, I 36, hkl 3 2 4
2θ = 61.38°, I 43, hkl 1 7 3
2θ = 64.43°, I 12, hkl 6 4 2

Lattice parameters (Å, degrees): 15.4393 15.4393 8.6780 90.00 90.00 120.00
Space group R-3 (No. 148, hexagonal axes)
Inequivalent atoms, fractional coordinates:
Pr1 0.0000 0.0000 0.0000 x3
Sm1 0.0353 0.2797 0.3340 x18
Tm1 0.0177 0.1403 0.6661 x18
Tm2 0.0702 0.5611 0.6667 x18

=====

Record 3
Diffraction record for PrSm6Tm4. The X-ray powder pattern is computed, not measured: it uses a crystal structure in Alexandria, relaxed with PBE and Cu Kα.
Intensities are scaled so that the largest is 100.

Main lines, low angle first (2θ = 5–70°):
2θ = 28.03°, I 13, hkl 3 0 0
2θ = 29.89°, I 23, hkl 1 1 1
2θ = 31.36°, I 80, hkl 2 0 1
2θ = 32.48°, I 100, hkl 2 2 0
2θ = 35.43°, I 31, hkl 2 1 1
2θ = 37.93°, I 12, hkl 3 0 1
2θ = 45.77°, I 22, hkl 4 0 1
2θ = 57.24°, I 18, hkl 4 2 1
2θ = 57.94°, I 14, hkl 6 0 0
2θ = 62.11°, I 31, hkl 2 2 2

Lattice parameters (Å, degrees): 11.0264 11.0264 3.5572 90.00 90.00 120.00
Space group P-6m2 (No. 187)
Inequivalent atoms, fractional coordinates:
Pr1 0.0000 0.0000 0.0000 x1
Sm1 0.1829 0.3659 0.5000 x3
Sm2 0.5197 0.0393 0.0000 x3
Tm1 0.3271 0.1636 0.5000 x3
Tm2 0.3333 0.6667 0.0000 x1

=====

Record 4
Diffraction record for Pr7SmTm3. The X-ray powder pattern is computed, not measured: it uses a crystal structure in Alexandria, relaxed with PBE and Cu Kα.
Intensities are scaled so that the largest is 100.

Main lines, low angle first (2θ = 5–70°):
2θ = 26.88°, I 18, hkl 0 1 2
2θ = 30.69°, I 21, hkl 0 2 -2
2θ = 31.09°, I 39, hkl 1 2 -1
2θ = 31.20°, I 16, hkl 2 0 1
2θ = 31.37°, I 65, hkl -1 2 1
2θ = 31.61°, I 100, hkl 2 0 -2
2θ = 32.00°, I 12, hkl 1 0 -3
2θ = 32.78°, I 26, hkl 1 1 2
2θ = 33.71°, I 14, hkl 1 -2 2
2θ = 56.26°, I 11, hkl 2 -2 4

Lattice parameters (Å, degrees): 6.6128 6.8101 8.8305 100.18 98.75 96.10
Space group P-1 (No. 2)
Inequivalent atoms, fractional coordinates:
Pr1 0.0000 0.0000 0.0000 x1
Pr2 0.0524 0.7118 0.6424 x2
Pr3 0.2145 0.2260 0.7070 x2
Pr4 0.4849 0.7370 0.9133 x2
Sm1 0.0000 0.5000 0.0000 x1
Tm1 0.3172 0.9307 0.3360 x2
Tm2 0.5000 0.5000 0.5000 x1

=====

Record 5
Diffraction record for Pr4Sm4Tm3. The X-ray powder pattern is computed, not measured: it uses a crystal structure in Alexandria, relaxed with PBE and Cu Kα.
Intensities are scaled so that the largest is 100.

Main lines, low angle first (2θ = 5–70°):
2θ = 30.30°, I 37, hkl 8 0 -1
2θ = 31.08°, I 82, hkl 3 1 1
2θ = 31.30°, I 100, hkl 11 1 0
2θ = 31.43°, I 54, hkl 0 2 0
2θ = 35.58°, I 20, hkl 7 1 1
2θ = 44.21°, I 26, hkl 8 2 -1
2θ = 55.73°, I 16, hkl 3 3 1
2θ = 55.87°, I 19, hkl 11 3 0
2θ = 61.02°, I 30, hkl 13 1 -2
2θ = 61.10°, I 17, hkl 2 2 -2

Lattice parameters (Å, degrees): 36.5243 5.6933 3.5848 90.00 95.54 90.00
Space group C2/m (No. 12)
Inequivalent atoms, fractional coordinates:
Pr1 0.0952 0.0000 0.0957 x4
Pr2 0.2212 0.5000 0.2211 x4
Sm1 0.0434 0.5000 0.0429 x4
Sm2 0.1813 0.0000 0.6818 x4
Tm1 0.0000 0.0000 0.5000 x2
Tm2 0.1296 0.5000 0.6290 x4

=====

Record 6
Diffraction record for Pr2Sm3Tm4. The X-ray powder pattern is computed, not measured: it uses a crystal structure in Alexandria, relaxed with PBE and Cu Kα.
Intensities are scaled so that the largest is 100.

Main lines, low angle first (2θ = 5–70°):
2θ = 12.27°, I 1, hkl 2 0 0
2θ = 30.52°, I 100, hkl 3 1 1
2θ = 35.39°, I 51, hkl 0 2 0
2θ = 50.92°, I 36, hkl 6 0 2
2θ = 60.54°, I 43, hkl 3 3 1
2θ = 63.53°, I 12, hkl 6 2 2

Lattice parameters (Å, degrees): 15.2060 5.0725 8.0266 90.00 108.43 90.00
Space group C2/m (No. 12)
Inequivalent atoms, fractional coordinates:
Pr1 0.0566 0.0000 0.3300 x4
Sm1 0.0000 0.5000 0.0000 x2
Sm2 0.1133 0.5000 0.6663 x4
Tm1 0.1685 0.0000 0.9983 x4
Tm2 0.2225 0.5000 0.3303 x4